This entry pairs a crystal structure of TbMgTl6 with its calculated powder diffractogram. Radiation: Cu Kα (λ = 1.5418 Å). Structure: a crystal structure in Alexandria, relaxed with PBE.
No peak broadening, texture or thermal motion is included.

Largest 10 diffraction maxima, in order of rising 2θ, 2θ from 10° to 80°:
2theta  intensity
32.34  100
35.86  19
37.83  17
38.80  15
53.11  13
53.85  13
62.24  15
64.88  14
66.20  12
67.69  12

```
data_TbMgTl6
_cell_length_a 6.8283
_cell_length_b 6.8283
_cell_length_c 4.7563
_cell_angle_alpha 90.00
_cell_angle_beta 90.00
_cell_angle_gamma 94.35
_space_group_name_H-M_alt 'P 1'
_space_group_IT_number 1
_space_group_name_Hall 'P 1'
loop_
_atom_site_label
_atom_site_fract_x
_atom_site_fract_y
_atom_site_fract_z
Tb1 0.0000 0.0000 0.0000
Mg1 0.5000 0.5000 0.0000
Tl1 0.0000 0.5000 0.0000
Tl2 0.2394 0.7606 0.5000
Tl3 0.2651 0.2651 0.5000
Tl4 0.5000 0.0000 0.0000
Tl5 0.7349 0.7349 0.5000
Tl6 0.7606 0.2394 0.5000
```